Record 1
For Ac2TlBi3Pd6, a cell relaxed with PBE gives the computed X-ray powder pattern in this record (Cu Kα, 1.54184 Å).

Largest 10 diffraction maxima, by angle, 2θ = 15–90°:
Position (°2θ), intensity, index
25.6, 100, 1 0 3
28.8, 47, 1 1 0
35.7, 28, 1 1 4
41.2, 62, 2 0 0
42.2, 44, 1 0 7
43.0, 54, 1 1 6
49.1, 36, 2 1 3
59.6, 21, 2 2 0
60.5, 31, 2 1 7
76.3, 20, 3 1 6

Structural model:
Lattice parameters (Å, degrees): 4.3845 4.3845 17.1629 90.00 90.00 90.00
Space group P4/mmm (No. 123)
Unique sites:
Ac1 0.0000 0.0000 0.1988 [2 per cell]
Tl1 0.0000 0.0000 0.5000 [1 per cell]
Bi1 0.5000 0.5000 0.0000 [1 per cell]
Bi2 0.5000 0.5000 0.3084 [2 per cell]
Pd1 0.0000 0.5000 0.4013 [4 per cell]
Pd2 0.5000 0.5000 0.1513 [2 per cell]

Record 2
For Ho7Al2In2, a cell relaxed with PBE gives the computed X-ray powder pattern in this record (Cu Kα, 1.54184 Å).

Largest 10 diffraction maxima, by angle, 2θ = 15–90°:
Position (°2θ), intensity, index
26.0, 36, 2 0 1
27.2, 77, 1 1 2
28.2, 42, 0 2 2
28.3, 93, 2 2 0
32.2, 76, 0 4 0
35.7, 44, 1 3 2
36.9, 100, 2 2 2
45.6, 21, 2 2 3
55.1, 23, 2 6 0
60.6, 22, 2 6 2

Structural model:
Lattice parameters (Å, degrees): 7.6472 11.1054 7.6873 90.00 90.00 90.00
Space group Cmmm (No. 65)
Unique sites:
Ho1 0.0000 0.0000 0.0000 [2 per cell]
Ho2 0.0000 0.5000 0.2425 [4 per cell]
Ho3 0.2500 0.2500 0.2822 [8 per cell]
Al1 0.0000 0.2849 0.0000 [4 per cell]
In1 0.1842 0.0000 0.5000 [4 per cell]

Record 3
For PrY3H, a cell relaxed with PBE gives the computed X-ray powder pattern in this record (Cu Kα, 1.54184 Å).

Largest 10 diffraction maxima, by angle, 2θ = 15–90°:
Position (°2θ), intensity, index
17.5, 4, 1 0 0
24.9, 4, 1 1 0
30.6, 100, 1 1 1
35.5, 51, 2 0 0
51.0, 35, 2 2 0
60.6, 41, 3 1 1
63.7, 12, 2 2 2
75.0, 5, 4 0 0
83.1, 17, 3 3 1
85.8, 15, 4 2 0

Structural model:
Lattice parameters (Å, degrees): 5.0643 5.0643 5.0643 90.00 90.00 90.00
Space group Pm-3m (No. 221)
Unique sites:
Pr1 0.0000 0.0000 0.0000 [1 per cell]
Y1 0.0000 0.5000 0.5000 [3 per cell]
H1 0.5000 0.5000 0.5000 [1 per cell]

Record 4
For BaZrF6, a cell relaxed with PBE gives the computed X-ray powder pattern in this record (Cu Kα, 1.54184 Å).

Largest 10 diffraction maxima, by angle, 2θ = 15–90°:
Position (°2θ), intensity, index
21.3, 33, 1 1 -2
22.8, 100, 1 2 -1
24.8, 68, 1 2 0
25.8, 58, 0 1 2
26.5, 66, 2 0 -2
26.7, 40, 1 2 -2
27.4, 58, 1 1 1
39.4, 55, 0 4 1
40.1, 44, 2 1 -4
42.1, 56, 2 3 -3

Structural model:
Lattice parameters (Å, degrees): 6.7950 9.6120 9.3054 90.00 127.48 90.00
Space group P2_1/c (No. 14)
Unique sites:
Ba1 0.0900 0.1796 0.3642 [4 per cell]
Zr1 0.3841 0.5341 0.6346 [4 per cell]
F1 0.0620 0.0321 0.8840 [4 per cell]
F2 0.1848 0.7160 0.5355 [4 per cell]
F3 0.2335 0.0355 0.6745 [4 per cell]
F4 0.3287 0.1545 0.2073 [4 per cell]
F5 0.4272 0.6008 0.8604 [4 per cell]
F6 0.4832 0.6250 0.4714 [4 per cell]

Record 5
For NaZnHF2, a cell relaxed with PBE gives the computed X-ray powder pattern in this record (Cu Kα, 1.54184 Å).

Largest 10 diffraction maxima, by angle, 2θ = 15–90°:
Position (°2θ), intensity, index
20.9, 45, 1 0 0
26.6, 40, 0 0 1
29.8, 26, 1 1 0
34.1, 100, 1 0 1
42.6, 54, 2 0 0
50.9, 23, 2 0 1
54.7, 12, 0 0 2
55.7, 46, 2 1 1
61.9, 15, 2 2 0
71.7, 18, 2 0 2

Structural model:
Lattice parameters (Å, degrees): 4.2407 4.2407 3.3565 90.00 90.00 90.00
Space group P4mm (No. 99)
Unique sites:
Na1 0.0000 0.0000 0.0000 [1 per cell]
Zn1 0.5000 0.5000 0.4979 [1 per cell]
H1 0.5000 0.5000 0.9976 [1 per cell]
F1 0.0000 0.5000 0.4967 [2 per cell]

Record 6
For K4Zn5P6, a cell relaxed with PBE gives the computed X-ray powder pattern in this record (Cu Kα, 1.54184 Å).

Largest 10 diffraction maxima, by angle, 2θ = 15–90°:
Position (°2θ), intensity, index
26.8, 100, 1 1 3
30.2, 26, 0 0 6
32.2, 39, 1 5 0
32.9, 38, 1 3 4
35.0, 27, 0 6 4
38.2, 38, 1 5 4
40.6, 31, 0 0 8
43.9, 41, 2 0 0
45.1, 28, 1 7 4
47.8, 35, 1 7 5

Structural model:
Lattice parameters (Å, degrees): 4.1222 18.8430 17.7820 90.00 90.00 90.00
Space group Cmcm (No. 63)
Unique sites:
K1 0.0000 0.0112 0.1244 [8 per cell]
K2 0.0000 0.1878 0.0693 [8 per cell]
Zn1 0.0000 0.1171 0.7500 [4 per cell]
Zn2 0.0000 0.2634 0.7500 [4 per cell]
Zn3 0.0000 0.3748 0.1256 [8 per cell]
Zn4 0.0000 0.4164 0.7500 [4 per cell]
P1 0.0000 0.1496 0.2500 [4 per cell]
P2 0.0000 0.1916 0.6338 [8 per cell]
P3 0.0000 0.4444 0.0039 [8 per cell]
P4 0.0000 0.4551 0.2500 [4 per cell]

Record 7
For K3Th3CuSe8, a cell relaxed with PBE gives the computed X-ray powder pattern in this record (Cu Kα, 1.54184 Å).

Largest 10 diffraction maxima, by angle, 2θ = 15–90°:
Position (°2θ), intensity, index
23.9, 34, 2 2 -1
28.4, 100, 2 2 -2
29.0, 40, 4 0 0
36.4, 21, 2 2 -3
36.5, 15, 4 0 1
39.0, 29, 2 2 2
40.6, 37, 0 4 0
43.0, 29, 6 2 -2
50.6, 15, 4 4 0
66.5, 14, 2 6 -2

Structural model:
Lattice parameters (Å, degrees): 14.3384 8.8989 8.9688 90.00 120.73 90.00
Space group C2/m (No. 12)
Unique sites:
K1 0.0000 0.0000 0.0000 [2 per cell]
K2 0.2500 0.2500 0.0000 [4 per cell]
Th1 0.0000 0.5000 0.5000 [2 per cell]
Th2 0.2500 0.2500 0.5000 [4 per cell]
Cu1 0.0000 0.0000 0.5000 [2 per cell]
Se1 0.0213 0.2787 0.2833 [8 per cell]
Se2 0.1978 0.0000 0.6678 [4 per cell]
Se3 0.2399 0.5000 0.7153 [4 per cell]

Record 8
For Tb2Sm6TmTh, a cell relaxed with PBE gives the computed X-ray powder pattern in this record (Cu Kα, 1.54184 Å).

Largest 10 diffraction maxima, by angle, 2θ = 15–90°:
Position (°2θ), intensity, index
27.8, 27, 2 2 -2
28.4, 56, 1 3 2
30.0, 60, 3 1 -1
30.5, 60, 0 2 3
31.0, 77, 2 2 2
31.4, 100, 1 5 0
32.4, 29, 1 5 -1
33.1, 20, 3 1 -2
33.7, 36, 1 3 -3
34.3, 22, 2 2 -3

Structural model:
Lattice parameters (Å, degrees): 9.2849 14.9942 9.6414 90.00 97.32 90.00
Space group C2/c (No. 15)
Unique sites:
Tb1 0.2486 0.0467 0.0503 [8 per cell]
Sm1 0.0633 0.1776 0.4425 [8 per cell]
Sm2 0.0952 0.3905 0.6175 [8 per cell]
Sm3 0.2084 0.2188 0.8125 [8 per cell]
Tm1 0.0000 0.4090 0.2500 [4 per cell]
Th1 0.0000 0.0280 0.7500 [4 per cell]